For NiW5, a DFT-relaxed cell (PBE, OQMD) gives the theoretical X-ray powder pattern in this record (λ = 1.5418 Å (Cu Kα)).

Peak list (10 most intense, 2θ from 10° to 90°, low angle first)
- (1 0 5), 2θ 33.66, I 24.6
- (1 0 6), 2θ 38.24, I 76.1
- (2 0 1), 2θ 41.26, I 42.4
- (1 1 4), 2θ 41.52, I 100.0
- (2 0 2), 2θ 42.36, I 97.2
- (0 0 8), 2θ 43.37, I 21.9
- (2 1 6), 2θ 65.20, I 29.8
- (3 0 4), 2θ 67.49, I 23.8
- (2 0 10), 2θ 70.77, I 36.3
- (2 2 0), 2θ 74.45, I 33.4

Crystal structure
Unit cell a=5.0977 b=5.0977 c=16.6919 alpha=90.00 beta=90.00 gamma=120.00
Space group P6_3/mmc (No. 194)
Inequivalent atoms, fractional coordinates:
Ni 0.3333 0.6667 0.1261 [4 per cell]
W 0.0000 0.0000 0.0938 [4 per cell]
W 0.0000 0.5000 0.0000 [6 per cell]
W 0.1640 0.3279 0.2500 [6 per cell]
W 0.3333 0.6667 0.6556 [4 per cell]